1.
The following is a calculated powder diffractogram of NdCd2Hg8. It was derived from a DFT-relaxed cell (PBE, Alexandria), using CuKα.
Lines closer than 0.1° are merged.

Main lines, by intensity (10° ≤ 2θ ≤ 90°):
d_spacing	2theta	I/Imax
2.677	33.5	100.0
2.669	33.6	96.8
2.458	36.6	42.1
1.457	63.9	31.1
2.291	39.3	30.1
2.216	40.7	25.1
1.676	54.8	21.4
1.646	55.9	20.0

Structure:
Lattice parameters (Å, degrees): 8.555 8.555 7.022 103.37 103.37 33.40
Positions (direct):
Nd 0.000 0.000 0.000
Cd 0.258 0.258 0.357
Cd 0.742 0.742 0.643
Hg 0.090 0.090 0.474
Hg 0.192 0.192 0.909
Hg 0.371 0.371 0.780
Hg 0.436 0.436 0.251
Hg 0.564 0.564 0.749
Hg 0.629 0.629 0.220
Hg 0.808 0.808 0.091
Hg 0.910 0.910 0.526

---

2.
The following is a calculated powder diffractogram of Nd4CdHg3. It was derived from a DFT-relaxed cell (PBE, Alexandria), using CuKα.
Lines closer than 0.1° are merged.

Main lines, by intensity (10° ≤ 2θ ≤ 90°):
d_spacing	2theta	I/Imax
2.913	30.7	100.0
2.420	37.2	69.7
2.617	34.3	60.9
2.496	36.0	42.0
2.766	32.4	27.7
1.524	60.8	23.5
3.074	29.0	22.3
1.341	70.2	21.6

Structure:
Lattice parameters (Å, degrees): 3.749 4.992 12.296 90.00 90.00 90.00
Positions (direct):
Nd 0.000 0.000 0.000
Nd 0.000 0.500 0.301
Nd 0.500 0.000 0.496
Nd 0.500 0.500 0.804
Cd 0.000 0.000 0.725
Hg 0.000 0.500 0.574
Hg 0.500 0.000 0.228
Hg 0.500 0.500 0.072

---

3.
The following is a calculated powder diffractogram of Nd2Cd2Hg. It was derived from a DFT-relaxed cell (PBE, Alexandria), using CuKα.
Lines closer than 0.1° are merged.

Main lines, by intensity (10° ≤ 2θ ≤ 90°):
d_spacing	2theta	I/Imax
2.602	34.5	100.0
2.794	32.0	71.4
2.515	35.7	51.0
2.841	31.5	36.9
2.746	32.6	34.0
1.500	61.9	26.4
1.855	49.1	21.6
1.359	69.1	18.6

Structure:
Lattice parameters (Å, degrees): 6.197 6.197 10.086 107.15 107.15 47.89
Positions (direct):
Nd 0.049 0.049 0.355
Nd 0.174 0.174 0.079
Nd 0.826 0.826 0.921
Nd 0.951 0.951 0.645
Cd 0.372 0.372 0.404
Cd 0.475 0.475 0.134
Cd 0.525 0.525 0.866
Cd 0.628 0.628 0.596
Hg 0.260 0.260 0.692
Hg 0.740 0.740 0.308

---

4.
The following is a calculated powder diffractogram of Nd5CdHg2. It was derived from a DFT-relaxed cell (PBE, Alexandria), using CuKα.
Lines closer than 0.1° are merged.

Main lines, by intensity (10° ≤ 2θ ≤ 90°):
d_spacing	2theta	I/Imax
2.877	31.1	100.0
2.772	32.3	55.4
1.519	61.0	22.2
1.683	54.5	10.3
1.900	47.9	10.1
6.354	13.9	9.5
2.572	34.9	8.2
2.118	42.7	8.0

Structure:
Lattice parameters (Å, degrees): 8.876 8.876 8.876 120.83 120.83 88.57
Positions (direct):
Nd 0.000 0.000 0.000
Nd 0.004 0.504 0.807
Nd 0.197 0.004 0.500
Nd 0.303 0.803 0.807
Nd 0.496 0.303 0.500
Nd 0.500 0.500 0.000
Nd 0.504 0.697 0.500
Nd 0.697 0.197 0.193
Nd 0.803 0.996 0.500
Nd 0.996 0.496 0.193
Cd 0.250 0.250 0.000
Cd 0.750 0.750 0.000
Hg 0.141 0.359 0.500
Hg 0.359 0.859 0.217
Hg 0.641 0.141 0.783
Hg 0.859 0.641 0.500

---

5.
The following is a calculated powder diffractogram of Nd3Cd2Hg3. It was derived from a DFT-relaxed cell (PBE, Alexandria), using CuKα.
Lines closer than 0.1° are merged.

Main lines, by intensity (10° ≤ 2θ ≤ 90°):
d_spacing	2theta	I/Imax
2.705	33.1	100.0
2.667	33.6	24.8
2.559	35.1	20.5
1.547	59.8	18.4
1.847	49.4	14.8
1.504	61.7	12.9
1.353	69.5	10.7
1.987	45.7	10.6

Structure:
Lattice parameters (Å, degrees): 10.763 10.763 10.763 158.72 151.30 36.00
Positions (direct):
Nd 0.000 0.000 0.000
Nd 0.365 0.865 0.500
Nd 0.635 0.135 0.500
Cd 0.237 0.237 0.000
Cd 0.763 0.763 0.000
Hg 0.123 0.623 0.500
Hg 0.500 0.500 0.000
Hg 0.877 0.377 0.500

---

6.
The following is a calculated powder diffractogram of NdCd6Hg. It was derived from a DFT-relaxed cell (PBE, Alexandria), using CuKα.
Lines closer than 0.1° are merged.

Main lines, by intensity (10° ≤ 2θ ≤ 90°):
d_spacing	2theta	I/Imax
2.597	34.5	100.0
2.757	32.5	72.7
2.205	40.9	38.6
1.681	54.6	32.9
1.379	68.0	26.6
1.499	61.9	17.8
1.317	71.6	14.5
1.102	88.7	13.5

Structure:
Lattice parameters (Å, degrees): 5.998 5.998 6.506 90.00 90.00 120.00
Positions (direct):
Nd 0.000 0.000 0.000
Cd 0.000 0.500 0.250
Cd 0.000 0.500 0.750
Cd 0.500 0.000 0.250
Cd 0.500 0.000 0.750
Cd 0.500 0.500 0.250
Cd 0.500 0.500 0.750
Hg 0.000 0.000 0.500

---

7.
The following is a calculated powder diffractogram of Nd2CdHg2Pd5. It was derived from a DFT-relaxed cell (PBE, Alexandria), using CuKα.
Lines closer than 0.1° are merged.

Main lines, by intensity (10° ≤ 2θ ≤ 90°):
d_spacing	2theta	I/Imax
2.511	35.8	100.0
2.311	39.0	31.2
2.153	42.0	31.1
2.416	37.2	26.5
1.986	45.7	25.0
1.551	59.6	19.5
2.486	36.1	19.3
2.677	33.5	18.9

Structure:
Lattice parameters (Å, degrees): 10.249 10.249 3.971 90.00 90.00 90.00
Positions (direct):
Nd 0.170 0.330 0.000
Nd 0.330 0.830 0.000
Nd 0.670 0.170 0.000
Nd 0.830 0.670 0.000
Cd 0.000 0.000 0.000
Cd 0.500 0.500 0.000
Hg 0.129 0.629 0.000
Hg 0.371 0.129 0.000
Hg 0.629 0.871 0.000
Hg 0.871 0.371 0.000
Pd 0.000 0.500 0.500
Pd 0.043 0.801 0.500
Pd 0.199 0.043 0.500
Pd 0.301 0.543 0.500
Pd 0.457 0.301 0.500
Pd 0.500 0.000 0.500
Pd 0.543 0.699 0.500
Pd 0.699 0.457 0.500
Pd 0.801 0.957 0.500
Pd 0.957 0.199 0.500

---

8.
The following is a calculated powder diffractogram of PmNd2CdHg4. It was derived from a DFT-relaxed cell (PBE, Alexandria), using CuKα.
Lines closer than 0.1° are merged.

Main lines, by intensity (10° ≤ 2θ ≤ 90°):
d_spacing	2theta	I/Imax
2.712	33.0	100.0
2.621	34.2	98.3
1.530	60.5	35.6
1.885	48.3	34.8
1.513	61.3	18.5
1.585	58.2	15.8
1.180	81.6	15.5
1.204	79.6	13.0

Structure:
Lattice parameters (Å, degrees): 9.513 9.513 9.513 31.98 31.98 31.98
Positions (direct):
Pm 0.000 0.000 0.000
Nd 0.240 0.240 0.240
Nd 0.760 0.760 0.760
Cd 0.500 0.500 0.500
Hg 0.122 0.122 0.122
Hg 0.370 0.370 0.370
Hg 0.630 0.630 0.630
Hg 0.878 0.878 0.878